Diffraction record for Fe6BC. The X-ray diffraction stick pattern is computed, not measured: it uses a DFT-relaxed cell (PBE, Alexandria) and Cu Kα (λ = 1.5418 Å).

Structure:
```
data_Fe6BC
_chemical_formula_sum 'Fe12 B2 C2'
_cell_length_a 6.6489
_cell_length_b 4.4444
_cell_length_c 5.2234
_cell_angle_alpha 90.00
_cell_angle_beta 90.00
_cell_angle_gamma 90.00
_symmetry_space_group_name_H-M 'P 1'
_symmetry_Int_Tables_number 1
loop_
_symmetry_equiv_pos_as_xyz
'x,y,z'
loop_
_atom_site_label
_atom_site_fract_x
_atom_site_fract_y
_atom_site_fract_z
_atom_site_occupancy
Fe1 0.0000 0.0953 0.0000 1
Fe2 0.0000 0.9047 0.5000 1
Fe3 0.1856 0.4113 0.3597 1
Fe4 0.1856 0.5887 0.8597 1
Fe5 0.3058 0.0957 0.7124 1
Fe6 0.3058 0.9043 0.2124 1
Fe7 0.5000 0.3784 0.0561 1
Fe8 0.5000 0.6216 0.5561 1
Fe9 0.6942 0.0957 0.7124 1
Fe10 0.6942 0.9043 0.2124 1
Fe11 0.8144 0.4113 0.3597 1
Fe12 0.8144 0.5887 0.8597 1
B1 0.5000 0.1814 0.4157 1
B2 0.5000 0.8186 0.9157 1
C1 0.0000 0.3148 0.6567 1
C2 0.0000 0.6852 0.1567 1
```

Principal peaks in the range 10 to 80 degrees two-theta, low angle first:
| two_theta | intensity |
| --- | --- |
| 37.93 | 54 |
| 40.04 | 31 |
| 42.38 | 61 |
| 44.09 | 75 |
| 44.30 | 67 |
| 45.75 | 100 |
| 46.46 | 68 |
| 48.85 | 55 |
| 49.14 | 37 |
| 52.54 | 31 |

Diffraction record for Mn5Fe2BC2. The X-ray diffraction stick pattern is computed, not measured: it uses a DFT-relaxed cell (PBE, Alexandria) and Cu Kα (λ = 1.5418 Å).

Structure:
```
data_Mn5Fe2BC2
_chemical_formula_sum 'Mn20 Fe8 B4 C8'
_cell_length_a 4.4225
_cell_length_b 6.7812
_cell_length_c 11.9870
_cell_angle_alpha 90.00
_cell_angle_beta 90.00
_cell_angle_gamma 90.00
_symmetry_space_group_name_H-M 'P 1'
_symmetry_Int_Tables_number 1
loop_
_symmetry_equiv_pos_as_xyz
'x,y,z'
loop_
_atom_site_label
_atom_site_fract_x
_atom_site_fract_y
_atom_site_fract_z
_atom_site_occupancy
Mn1 0.0460 0.0608 0.1935 1
Mn2 0.0460 0.4392 0.1935 1
Mn3 0.2235 0.7500 0.0962 1
Mn4 0.2497 0.0605 0.9782 1
Mn5 0.2497 0.4395 0.9782 1
Mn6 0.2503 0.5605 0.4782 1
Mn7 0.2503 0.9395 0.4782 1
Mn8 0.2765 0.2500 0.5962 1
Mn9 0.4540 0.5608 0.6935 1
Mn10 0.4540 0.9392 0.6935 1
Mn11 0.5460 0.0608 0.3065 1
Mn12 0.5460 0.4392 0.3065 1
Mn13 0.7235 0.7500 0.4038 1
Mn14 0.7497 0.0605 0.5218 1
Mn15 0.7497 0.4395 0.5218 1
Mn16 0.7503 0.5605 0.0218 1
Mn17 0.7503 0.9395 0.0218 1
Mn18 0.7765 0.2500 0.9038 1
Mn19 0.9540 0.5608 0.8065 1
Mn20 0.9540 0.9392 0.8065 1
Fe1 0.0490 0.2500 0.3706 1
Fe2 0.2158 0.7500 0.3016 1
Fe3 0.2842 0.2500 0.8016 1
Fe4 0.4510 0.7500 0.8706 1
Fe5 0.5490 0.2500 0.1294 1
Fe6 0.7158 0.7500 0.1984 1
Fe7 0.7842 0.2500 0.6984 1
Fe8 0.9510 0.7500 0.6294 1
B1 0.0438 0.7500 0.9397 1
B2 0.4562 0.2500 0.4397 1
B3 0.5438 0.7500 0.5603 1
B4 0.9562 0.2500 0.0603 1
C1 0.0419 0.0241 0.6475 1
C2 0.0419 0.4759 0.6475 1
C3 0.4581 0.5241 0.1475 1
C4 0.4581 0.9759 0.1475 1
C5 0.5419 0.0241 0.8525 1
C6 0.5419 0.4759 0.8525 1
C7 0.9581 0.5241 0.3525 1
C8 0.9581 0.9759 0.3525 1
```

Principal peaks in the range 10 to 80 degrees two-theta, low angle first:
| two_theta | intensity |
| --- | --- |
| 40.16 | 40 |
| 40.41 | 38 |
| 40.62 | 23 |
| 42.91 | 20 |
| 43.69 | 100 |
| 45.04 | 70 |
| 45.29 | 63 |
| 45.71 | 54 |
| 47.66 | 32 |
| 51.65 | 41 |

Diffraction record for Pm2Fe2BC2. The X-ray diffraction stick pattern is computed, not measured: it uses a DFT-relaxed cell (PBE, Alexandria) and Cu Kα (λ = 1.5418 Å).

Structure:
```
data_Pm2Fe2BC2
_chemical_formula_sum 'Pm2 Fe2 B1 C2'
_cell_length_a 5.4056
_cell_length_b 5.4056
_cell_length_c 6.4205
_cell_angle_alpha 122.25
_cell_angle_beta 122.25
_cell_angle_gamma 38.06
_symmetry_space_group_name_H-M 'P 1'
_symmetry_Int_Tables_number 1
loop_
_symmetry_equiv_pos_as_xyz
'x,y,z'
loop_
_atom_site_label
_atom_site_fract_x
_atom_site_fract_y
_atom_site_fract_z
_atom_site_occupancy
Pm1 0.0707 0.0707 0.3370 1
Pm2 0.9293 0.9293 0.6630 1
Fe1 0.2932 0.2932 0.9143 1
Fe2 0.7068 0.7068 0.0857 1
B1 0.5000 0.5000 0.0000 1
C1 0.2945 0.2945 0.2217 1
C2 0.7055 0.7055 0.7783 1
```

Principal peaks in the range 10 to 80 degrees two-theta, low angle first:
| two_theta | intensity |
| --- | --- |
| 27.42 | 100 |
| 27.87 | 68 |
| 33.81 | 100 |
| 35.38 | 64 |
| 35.85 | 47 |
| 36.52 | 41 |
| 36.70 | 91 |
| 38.88 | 99 |
| 51.87 | 47 |
| 63.36 | 32 |

Diffraction record for TmFe2BC. The X-ray diffraction stick pattern is computed, not measured: it uses a DFT-relaxed cell (PBE, Alexandria) and Cu Kα (λ = 1.5418 Å).

Structure:
```
data_TmFe2BC
_chemical_formula_sum 'Tm2 Fe4 B2 C2'
_cell_length_a 5.2733
_cell_length_b 5.2733
_cell_length_c 6.5760
_cell_angle_alpha 90.00
_cell_angle_beta 90.00
_cell_angle_gamma 141.82
_symmetry_space_group_name_H-M 'P 1'
_symmetry_Int_Tables_number 1
loop_
_symmetry_equiv_pos_as_xyz
'x,y,z'
loop_
_atom_site_label
_atom_site_fract_x
_atom_site_fract_y
_atom_site_fract_z
_atom_site_occupancy
Tm1 0.0477 0.9523 0.7500 1
Tm2 0.9523 0.0477 0.2500 1
Fe1 0.3249 0.6751 0.5634 1
Fe2 0.3249 0.6751 0.9366 1
Fe3 0.6751 0.3249 0.0634 1
Fe4 0.6751 0.3249 0.4366 1
B1 0.2316 0.7684 0.2500 1
B2 0.7684 0.2316 0.7500 1
C1 0.5000 0.5000 0.0000 1
C2 0.5000 0.5000 0.5000 1
```

Principal peaks in the range 10 to 80 degrees two-theta, low angle first:
| two_theta | intensity |
| --- | --- |
| 27.36 | 26 |
| 30.61 | 30 |
| 32.63 | 52 |
| 37.59 | 55 |
| 38.64 | 48 |
| 38.90 | 100 |
| 40.10 | 36 |
| 45.19 | 24 |
| 53.09 | 23 |
| 69.30 | 27 |